[1]
# Mg2Cu3Ge
Computed powder X-ray diffraction pattern, copper Kα. Input: a cell relaxed with PBE.
Intensities are scaled so that the largest is 100.

Peak list (6 most intense, 2θ from 10° to 80°, most intense first)
2θ (°), d/Å, Rel. int.
42.98, 2.104, 100
42.45, 2.129, 88
20.35, 4.364, 55
47.51, 1.914, 50
39.72, 2.269, 36
23.24, 3.827, 29

Atomic structure:
Cell lengths 5.039, 5.039, 7.969 Å; angles 90.00, 90.00, 120.00 degrees
Element x y z (fractional)
Mg: 0.333 0.667 0.063
Mg: 0.333 0.667 0.437
Mg: 0.667 0.333 0.563
Mg: 0.667 0.333 0.937
Cu: 0.171 0.342 0.750
Cu: 0.171 0.829 0.750
Cu: 0.342 0.171 0.250
Cu: 0.658 0.829 0.750
Cu: 0.829 0.171 0.250
Cu: 0.829 0.658 0.250
Ge: 0.000 0.000 0.000
Ge: 0.000 0.000 0.500


[2]
# Mg2Cu3Ge
Computed powder X-ray diffraction pattern, copper Kα. Input: a cell relaxed with PBE.
Intensities are scaled so that the largest is 100.

Peak list (6 most intense, 2θ from 10° to 80°, most intense first)
2θ (°), d/Å, Rel. int.
42.25, 2.139, 100
42.03, 2.150, 80
42.87, 2.110, 54
46.69, 1.946, 51
20.02, 4.435, 50
44.69, 2.028, 45

Atomic structure:
Cell lengths 8.111, 5.071, 5.071 Å; angles 60.99, 90.00, 90.00 degrees
Element x y z (fractional)
Mg: 0.176 0.000 0.000
Mg: 0.294 0.662 0.662
Mg: 0.706 0.662 0.662
Mg: 0.824 0.000 0.000
Cu: 0.000 0.500 0.500
Cu: 0.000 0.501 0.994
Cu: 0.000 0.994 0.501
Cu: 0.248 0.329 0.329
Cu: 0.500 0.155 0.155
Cu: 0.752 0.329 0.329
Ge: 0.500 0.159 0.663
Ge: 0.500 0.663 0.159


[3]
# MgCu3Ge4O12
Computed powder X-ray diffraction pattern, copper Kα. Input: a cell relaxed with PBE.
Intensities are scaled so that the largest is 100.

Peak list (6 most intense, 2θ from 10° to 80°, most intense first)
2θ (°), d/Å, Rel. int.
34.88, 2.572, 100
62.55, 1.485, 48
50.16, 1.819, 28
73.66, 1.286, 14
24.47, 3.637, 6
30.09, 2.970, 5

Atomic structure:
Cell lengths 6.300, 6.300, 6.300 Å; angles 109.47, 109.47, 109.47 degrees
Element x y z (fractional)
Mg: 0.000 0.000 0.000
Cu: 0.000 0.500 0.500
Cu: 0.500 0.000 0.500
Cu: 0.500 0.500 0.000
Ge: 0.000 0.000 0.500
Ge: 0.000 0.500 0.000
Ge: 0.500 0.000 0.000
Ge: 0.500 0.500 0.500
O: 0.117 0.298 0.819
O: 0.181 0.479 0.298
O: 0.181 0.883 0.702
O: 0.298 0.181 0.479
O: 0.298 0.819 0.117
O: 0.479 0.298 0.181
O: 0.521 0.702 0.819
O: 0.702 0.181 0.883
O: 0.702 0.819 0.521
O: 0.819 0.117 0.298
O: 0.819 0.521 0.702
O: 0.883 0.702 0.181


[4]
# MgCu4Ge2O8
Computed powder X-ray diffraction pattern, copper Kα. Input: a cell relaxed with PBE.
Intensities are scaled so that the largest is 100.

Peak list (6 most intense, 2θ from 10° to 80°, most intense first)
2θ (°), d/Å, Rel. int.
27.21, 3.278, 100
26.73, 3.335, 57
26.57, 3.355, 41
35.83, 2.506, 37
55.09, 1.667, 32
35.74, 2.513, 29

Atomic structure:
Cell lengths 5.476, 5.803, 7.298 Å; angles 66.87, 68.09, 89.86 degrees
Element x y z (fractional)
Mg: 0.000 0.000 0.000
Cu: 0.040 0.800 0.398
Cu: 0.561 0.800 0.394
Cu: 0.587 0.346 0.823
Cu: 0.588 0.832 0.822
Ge: 0.219 0.219 0.559
Ge: 0.959 0.461 0.079
O: 0.288 0.023 0.422
O: 0.288 0.549 0.421
O: 0.307 0.549 0.904
O: 0.368 0.118 0.764
O: 0.786 0.549 0.902
O: 0.867 0.118 0.763
O: 0.883 0.652 0.230
O: 0.884 0.121 0.230


[5]
# MgCu4Ge2O8
Computed powder X-ray diffraction pattern, copper Kα. Input: a cell relaxed with PBE.
Intensities are scaled so that the largest is 100.

Peak list (6 most intense, 2θ from 10° to 80°, most intense first)
2θ (°), d/Å, Rel. int.
27.14, 3.286, 100
28.55, 3.127, 48
25.07, 3.552, 39
52.67, 1.738, 36
27.95, 3.192, 36
57.76, 1.596, 35

Atomic structure:
Cell lengths 7.030, 7.030, 5.727 Å; angles 106.84, 106.84, 46.20 degrees
Element x y z (fractional)
Mg: 0.000 0.000 0.000
Cu: 0.000 0.500 0.000
Cu: 0.500 0.000 0.000
Cu: 0.500 0.500 0.000
Cu: 0.500 0.500 0.500
Ge: 0.137 0.137 0.420
Ge: 0.863 0.863 0.580
O: 0.182 0.182 0.147
O: 0.208 0.713 0.707
O: 0.221 0.221 0.721
O: 0.287 0.792 0.293
O: 0.713 0.208 0.707
O: 0.779 0.779 0.279
O: 0.792 0.287 0.293
O: 0.818 0.818 0.853


[6]
# MgCu2GeS4
Computed powder X-ray diffraction pattern, copper Kα. Input: a cell relaxed with PBE.
Intensities are scaled so that the largest is 100.

Peak list (6 most intense, 2θ from 10° to 80°, most intense first)
2θ (°), d/Å, Rel. int.
28.62, 3.119, 100
47.95, 1.897, 40
55.89, 1.645, 27
46.93, 1.936, 21
57.69, 1.598, 14
18.26, 4.858, 14

Atomic structure:
Cell lengths 6.534, 6.534, 6.534 Å; angles 130.45, 130.45, 72.69 degrees
Element x y z (fractional)
Mg: 0.000 0.000 0.000
Cu: 0.250 0.750 0.500
Cu: 0.750 0.250 0.500
Ge: 0.500 0.500 0.000
S: 0.135 0.135 0.532
S: 0.396 0.865 0.000
S: 0.604 0.604 0.468
S: 0.865 0.396 0.000


[7]
# MgCu2GeS4
Computed powder X-ray diffraction pattern, copper Kα. Input: a cell relaxed with PBE.
Intensities are scaled so that the largest is 100.

Peak list (6 most intense, 2θ from 10° to 80°, most intense first)
2θ (°), d/Å, Rel. int.
28.66, 3.115, 100
48.00, 1.895, 40
56.01, 1.642, 27
47.04, 1.932, 21
18.29, 4.850, 14
57.71, 1.598, 13

Atomic structure:
Cell lengths 5.464, 5.464, 6.526 Å; angles 114.70, 114.70, 90.00 degrees
Element x y z (fractional)
Mg: 0.000 0.000 0.000
Cu: 0.240 0.745 0.501
Cu: 0.745 0.240 0.501
Ge: 0.497 0.497 0.001
S: 0.129 0.597 0.740
S: 0.395 0.395 0.265
S: 0.597 0.129 0.740
S: 0.861 0.861 0.258